# Dy2NiRuO6
Theoretical PXRD pattern, a wavelength of 1.5418 Å. Input: a PBE+U-relaxed structure.
Intensities are scaled so that the largest is 100.

Atomic structure:
Lattice parameters (Å, degrees): 5.296 5.760 9.242 90.00 124.97 90.00
Space group P2_1/c (No. 14)
Asymmetric unit:
Dy1 0.225 0.078 0.252 (multiplicity 4)
Ni1 0.500 0.000 0.000 (multiplicity 2)
Ru1 0.000 0.000 0.500 (multiplicity 2)
O1 0.118 0.197 0.935 (multiplicity 4)
O2 0.257 0.690 0.944 (multiplicity 4)
O3 0.370 0.045 0.746 (multiplicity 4)

Most intense lines, 10° ≤ 2θ ≤ 90°, most intense first:
| two_theta | d_spacing | Rel. int. | h k l |
| --- | --- | --- | --- |
| 32.98 | 2.716 | 100 | 1 1 1 |
| 60.00 | 1.542 | 26 | 3 1 -1 |
| 33.85 | 2.648 | 24 | 2 0 -2 |
| 25.70 | 3.466 | 23 | 1 1 0 |
| 31.05 | 2.880 | 18 | 0 2 0 |
| 52.09 | 1.756 | 18 | 1 3 -2 |
| 33.28 | 2.692 | 15 | 0 2 1 |
| 46.60 | 1.949 | 15 | 2 2 -2 |
| 48.21 | 1.888 | 14 | 2 2 -1 |
| 48.06 | 1.893 | 14 | 0 0 4 |